No. 1
# BaCa2I6
Calculated powder diffraction line list, Cu Kα, 1.54184 Å. Input: a GGA-PBE-relaxed structure.
Lines closer than 0.1° are merged.

```
27
Lattice="14.065 0.000 0.000 -7.032 12.181 0.000 0.000 0.000 7.273" Properties=species:S:1:pos:R:3 pbc="T T T"
Ba 0.000 0.000 0.000
Ba 0.000 8.120 3.607
Ba 7.032 4.060 3.666
Ca -2.220 3.845 3.636
Ca -4.569 7.913 0.000
Ca 4.439 0.000 3.636
Ca 2.464 4.267 0.000
Ca 9.137 0.000 0.000
Ca 4.813 8.336 3.636
I -2.367 6.449 5.490
I -4.643 10.514 5.403
I 0.249 2.902 5.403
I -0.047 5.217 1.739
I -2.491 9.613 1.739
I 2.389 1.666 1.870
I 4.541 2.568 5.534
I -0.264 11.006 5.490
I 2.631 6.906 5.490
I 6.769 1.175 1.783
I 4.665 5.731 1.783
I 2.538 9.531 1.739
I 4.395 10.945 5.403
I 6.985 6.964 5.534
I 9.571 2.649 5.534
I 11.427 1.236 1.870
I 7.281 9.278 1.870
I 9.663 5.275 1.783
```

Principal peaks in the range 2θ from 10° to 80°, by intensity:
- 25.12 deg, intensity 100
- 33.07 deg, intensity 41
- 38.40 deg, intensity 30
- 43.48 deg, intensity 22
- 46.44 deg, intensity 13
- 24.48 deg, intensity 13
- 64.91 deg, intensity 12
- 46.07 deg, intensity 11
- 51.56 deg, intensity 10
- 61.79 deg, intensity 9

---

No. 2
# TiH14O6F6
Calculated powder diffraction line list, Cu Kα, 1.54184 Å. Input: a GGA-PBE-relaxed structure.
Lines closer than 0.1° are merged.

```
54
Lattice="6.087 0.000 0.000 0.000 15.696 0.000 -1.745 0.000 6.555" Properties=species:S:1:pos:R:3 pbc="T T T"
Ti 0.000 0.000 0.000
Ti -0.872 7.848 3.277
H -0.102 3.186 4.555
H 0.770 4.662 1.278
H 0.325 11.042 2.980
H -0.547 12.503 6.258
H 0.486 3.068 4.106
H 1.359 4.780 0.829
H 1.545 8.784 1.607
H 0.673 14.760 4.884
H 1.696 9.494 1.434
H 0.824 14.050 4.711
H 1.151 8.563 5.107
H 2.024 14.981 1.830
H 1.259 1.272 5.926
H 2.132 6.576 2.649
H 2.211 9.120 3.906
H 3.083 14.425 0.629
H 2.319 0.715 4.725
H 3.191 7.133 1.448
H 3.519 1.646 1.844
H 2.647 6.202 5.121
H 3.670 0.936 1.671
H 2.798 6.912 4.948
H 2.984 10.916 5.726
H 3.857 12.629 2.449
H 4.890 3.194 0.297
H 4.018 4.654 3.575
H 3.573 11.034 5.277
H 4.445 12.510 2.000
O -0.080 0.655 1.870
O -0.953 7.193 5.148
O 0.170 9.503 3.692
O 1.042 14.042 0.414
O 1.369 9.352 4.507
O 2.242 14.193 1.230
O 2.101 1.503 5.325
O 2.973 6.345 2.048
O 3.300 1.655 6.141
O 4.173 6.193 2.863
O 5.295 8.503 1.407
O 4.423 15.041 4.685
F -0.253 11.758 5.723
F 0.620 11.786 2.445
F -0.047 0.896 6.384
F 0.825 6.952 3.106
F 1.211 0.422 2.554
F 0.338 7.426 5.831
F 4.005 8.270 0.724
F 3.132 15.274 4.001
F 3.518 8.744 3.449
F 4.390 14.800 0.171
F 3.723 3.910 4.109
F 4.595 3.938 0.832
```

Principal peaks in the range 2θ from 10° to 80°, by intensity:
- 11.27 deg, intensity 100
- 14.64 deg, intensity 49
- 18.37 deg, intensity 35
- 32.24 deg, intensity 18
- 22.69 deg, intensity 15
- 41.74 deg, intensity 13
- 16.09 deg, intensity 11
- 24.44 deg, intensity 10
- 20.84 deg, intensity 10
- 43.18 deg, intensity 9

---

No. 3
# NaTiSnP3O12
Calculated powder diffraction line list, Cu Kα, 1.54184 Å. Input: a GGA-PBE-relaxed structure.
Lines closer than 0.1° are merged.

```
36
Lattice="4.340 2.506 7.475 -4.340 2.506 7.475 0.000 -5.012 7.475" Properties=species:S:1:pos:R:3 pbc="T T T"
Na 0.000 0.000 0.000
Na 0.000 0.000 11.212
Ti 0.000 0.000 7.973
Ti 0.000 0.000 19.185
Sn 0.000 0.000 3.315
Sn 0.000 0.000 14.528
P -1.825 -2.493 9.378
P -3.094 0.321 13.115
P -1.246 2.827 9.378
P 1.269 -2.840 13.115
P 3.072 -0.334 9.378
P 1.825 2.519 13.115
O -2.740 -2.327 10.618
O -0.921 -3.738 9.472
O -3.753 -1.070 12.980
O -1.601 0.179 6.880
O -0.950 -1.227 9.242
O -3.303 1.137 11.834
O -2.777 2.667 9.472
O 0.645 -1.476 6.880
O 0.667 -3.429 11.834
O -1.563 0.161 13.209
O -0.588 1.436 9.242
O -1.038 -1.369 15.572
O 0.955 1.297 6.880
O 0.642 -1.435 13.209
O 1.537 -0.209 9.242
O -0.645 3.536 10.618
O 2.803 -2.715 12.980
O -0.667 1.583 15.572
O 0.921 1.273 13.209
O 3.385 -1.209 10.618
O 1.704 -0.214 15.572
O 3.698 1.071 9.472
O 0.950 3.785 12.980
O 2.636 2.292 11.834
```

Principal peaks in the range 2θ from 10° to 80°, by intensity:
- 23.70 deg, intensity 100
- 20.46 deg, intensity 97
- 31.59 deg, intensity 96
- 19.75 deg, intensity 78
- 14.18 deg, intensity 66
- 28.59 deg, intensity 55
- 35.83 deg, intensity 40
- 48.51 deg, intensity 35
- 56.06 deg, intensity 28
- 45.45 deg, intensity 25

---

No. 4
# CaMnBi2
Calculated powder diffraction line list, Cu Kα, 1.54184 Å. Input: a GGA-PBE-relaxed structure.
Lines closer than 0.1° are merged.

```
16
Lattice="4.530 0.000 0.000 0.002 4.534 0.000 0.005 0.019 21.647" Properties=species:S:1:pos:R:3 pbc="T T T"
Ca 1.133 1.133 2.603
Ca 1.134 1.145 13.427
Ca 3.403 3.408 8.219
Ca 3.403 3.420 19.044
Mn 1.134 3.402 5.406
Mn 1.141 3.418 16.235
Mn 3.396 1.135 5.411
Mn 3.402 1.151 16.241
Bi 1.132 1.139 7.109
Bi 1.133 3.322 0.009
Bi 1.140 1.148 17.938
Bi 1.213 3.411 10.818
Bi 3.323 1.142 10.829
Bi 3.397 3.405 3.708
Bi 3.403 1.231 21.638
Bi 3.404 3.415 14.538
```

Principal peaks in the range 2θ from 10° to 80°, by intensity:
- 32.47 deg, intensity 100
- 29.06 deg, intensity 60
- 39.78 deg, intensity 51
- 25.64 deg, intensity 46
- 43.79 deg, intensity 40
- 24.68 deg, intensity 39
- 21.25 deg, intensity 31
- 47.38 deg, intensity 29
- 67.62 deg, intensity 23
- 47.93 deg, intensity 18

---

No. 5
# Li2CuO2
Calculated powder diffraction line list, Cu Kα, 1.54184 Å. Input: a GGA-PBE-relaxed structure.
Lines closer than 0.1° are merged.

```
5
Lattice="-1.992 1.992 3.627 1.992 -1.992 3.627 1.992 1.992 -3.627" Properties=species:S:1:pos:R:3 pbc="T T T"
Li 1.992 0.000 1.813
Li 0.000 1.992 1.813
Cu 0.000 0.000 0.000
O 1.992 0.000 0.000
O 0.000 1.992 0.000
```

Principal peaks in the range 2θ from 10° to 80°, by intensity:
- 25.51 deg, intensity 100
- 24.55 deg, intensity 51
- 45.53 deg, intensity 26
- 52.91 deg, intensity 25
- 43.80 deg, intensity 23
- 52.40 deg, intensity 21
- 40.55 deg, intensity 13
- 65.02 deg, intensity 13
- 70.18 deg, intensity 12
- 50.32 deg, intensity 9

---

No. 6
# CrN2
Calculated powder diffraction line list, Cu Kα, 1.54184 Å. Input: a GGA-PBE-relaxed structure.
Lines closer than 0.1° are merged.

```
12
Lattice="9.124 0.000 0.000 0.000 4.904 2.813 0.000 -4.904 2.813" Properties=species:S:1:pos:R:3 pbc="T T T"
Cr 0.559 -3.275 2.813
Cr 4.003 -3.275 2.813
Cr 5.121 3.275 2.813
Cr 8.565 3.275 2.813
N 0.000 0.000 0.131
N 0.078 -2.372 4.215
N 2.281 -3.287 2.719
N 4.484 -2.372 4.215
N 4.562 0.000 0.131
N 4.640 2.372 4.215
N 6.843 3.287 2.719
N 9.046 2.372 4.215
```

Principal peaks in the range 2θ from 10° to 80°, by intensity:
- 18.15 deg, intensity 100
- 20.61 deg, intensity 58
- 19.46 deg, intensity 56
- 34.74 deg, intensity 34
- 31.65 deg, intensity 32
- 26.73 deg, intensity 27
- 31.81 deg, intensity 15
- 53.63 deg, intensity 12
- 58.38 deg, intensity 9
- 47.79 deg, intensity 9